This entry pairs a crystal structure of Li6Tb2O7 with its theoretical powder diffraction line list. Radiation: Cu Kα. Structure: the PBE geometry in Alexandria.
Kinematic intensities with the Lorentz-polarization factor, no thermal factor.

Largest 10 diffraction maxima, sorted by position, 5 to 70 degrees two-theta:
| 2θ/deg | d/Å | Rel. int. | h k l |
| --- | --- | --- | --- |
| 10.5 | 8.394 | 100.0 | 1 0 0 |
| 17.7 | 5.012 | 54.0 | 1 1 0 |
| 22.6 | 3.937 | 72.1 | 1 1 -1 |
| 23.5 | 3.782 | 35.8 | 1 1 1 |
| 25.6 | 3.484 | 26.4 | 2 1 0 |
| 28.8 | 3.095 | 22.6 | 2 1 -1 |
| 30.3 | 2.947 | 37.9 | 2 1 1 |
| 32.2 | 2.779 | 61.9 | 1 0 2 |
| 38.3 | 2.349 | 24.8 | 2 2 -1 |
| 45.3 | 2.002 | 24.3 | 3 2 -1 |

Structure:
a b c (Å): 8.414 6.249 6.055
angles (deg): 90.00 93.92 90.00
Space group P2_1/c (No. 14)
Unique sites:
Li (0.072, 0.143, 0.085) x4
Li (0.086, 0.607, 0.113) x4
Li (0.295, 0.128, 0.860) x4
Tb (0.339, 0.600, 0.801) x4
O (0.148, 0.127, 0.405) x4
O (0.172, 0.635, 0.448) x4
O (0.495, 0.202, 0.409) x4
O (0.500, 0.000, 0.000) x2